(1)
Starting from DFT lattice parameters and positions (GGA-PBE), the XRD peak list of Th3Au5 was computed for Cu Kα.
Neutral-atom scattering factors, no anomalous dispersion.

Largest 6 diffraction maxima, by intensity, 2θ = 5–70°:
d (Å)  I (rel.)
2.422  100
2.749  96
2.768  76
3.200  69
2.101  59
2.625  34

Crystal structure
```
Th3Au5
1.0
0.0000 8.8802 7.4070
2.9836 0.0000 7.4070
2.9836 8.8802 0.0000
Th Au
6 10
Direct
0.0000 0.0000 0.0000
0.2500 0.2500 0.2500
0.3892 0.6232 0.2758
0.5381 0.9742 0.6268
0.6232 0.3892 0.7119
0.9742 0.5381 0.8608
0.1355 0.5320 0.0363
0.2137 0.9539 0.1145
0.4300 0.8613 0.4507
0.4462 0.4462 0.5538
0.5320 0.1355 0.2961
0.6962 0.6962 0.8038
0.7993 0.9920 0.8200
0.8613 0.4300 0.2580
0.9539 0.2137 0.7180
0.9920 0.7993 0.3887
```

(2)
Starting from DFT lattice parameters and positions (GGA-PBE), the XRD peak list of Cu6Sn2AsP was computed for Cu Kα.
Neutral-atom scattering factors, no anomalous dispersion.

Largest 6 diffraction maxima, by intensity, 2θ = 5–70°:
d (Å)  I (rel.)
2.987  100
2.031  93
2.206  86
2.174  79
2.056  66
2.835  62

Crystal structure
```
Cu6Sn2AsP
1.0
5.2280 0.0000 0.0000
0.0000 8.2231 0.0000
0.0000 0.0000 7.8310
Cu Sn As P
12 4 2 2
Direct
0.0016 0.2500 0.0183
0.0048 0.7500 0.5058
0.2500 0.0021 0.4148
0.2500 0.4979 0.4148
0.4952 0.7500 0.5058
0.4984 0.2500 0.0183
0.5016 0.7500 0.9817
0.5048 0.2500 0.4942
0.7500 0.5021 0.5852
0.7500 0.9979 0.5852
0.9952 0.2500 0.4942
0.9984 0.7500 0.9817
0.2500 0.0010 0.7736
0.2500 0.4990 0.7736
0.7500 0.5010 0.2264
0.7500 0.9990 0.2264
0.2500 0.7500 0.2361
0.7500 0.2500 0.7639
0.2500 0.2500 0.2537
0.7500 0.7500 0.7463
```